1.
Diffraction record for AcPmY6Er2. The powder diffractogram is simulated, not measured: it uses a DFT-relaxed cell (PBE, Alexandria) and a wavelength of 1.5418 Å.
Peak positions follow from Bragg's law for the DFT cell and can differ from measured ones.

Lattice parameters (Å, degrees): 8.9365 8.9365 9.5788 92.71 92.71 117.10
Element x y z (fractional)
Ac  0.0330  0.9670  0.7500
Ac  0.9670  0.0330  0.2500
Pm  0.4121  0.5879  0.2500
Pm  0.5879  0.4121  0.7500
Y  0.0135  0.5541  0.6788
Y  0.1220  0.7539  0.0576
Y  0.2461  0.8780  0.4424
Y  0.2904  0.5141  0.8870
Y  0.4459  0.9865  0.8212
Y  0.4859  0.7096  0.6130
Y  0.5141  0.2904  0.3870
Y  0.5541  0.0135  0.1788
Y  0.7096  0.4859  0.1130
Y  0.7539  0.1220  0.5576
Y  0.8780  0.2461  0.9424
Y  0.9865  0.4459  0.3212
Er  0.1995  0.3102  0.5516
Er  0.3102  0.1995  0.0516
Er  0.6898  0.8005  0.9484
Er  0.8005  0.6898  0.4484

Largest 10 diffraction maxima, low angle first, 2θ from 10° to 90°:
d (Å)	2theta	I (rel.)
7.624	11.61	43
3.188	27.99	76
3.172	28.13	48
2.969	30.10	57
2.940	30.40	100
2.935	30.46	72
2.897	30.86	48
2.862	31.25	56
2.794	32.03	48
2.644	33.91	41

***

2.
Diffraction record for Sr12Sn5H2. The powder diffractogram is simulated, not measured: it uses a DFT-relaxed cell (PBE, Alexandria) and a wavelength of 1.5418 Å.
Peak positions follow from Bragg's law for the DFT cell and can differ from measured ones.

Lattice parameters (Å, degrees): 9.9193 9.9193 10.7728 105.54 105.54 50.75
Element x y z (fractional)
Sr  0.0005  0.0005  0.3054
Sr  0.0706  0.5998  0.4124
Sr  0.0951  0.5962  0.9270
Sr  0.4002  0.9294  0.5876
Sr  0.4038  0.9049  0.0730
Sr  0.4924  0.4924  0.7023
Sr  0.5076  0.5076  0.2977
Sr  0.5962  0.0951  0.9270
Sr  0.5998  0.0706  0.4124
Sr  0.9049  0.4038  0.0730
Sr  0.9294  0.4002  0.5876
Sr  0.9995  0.9995  0.6946
Sn  0.1865  0.1865  0.8469
Sn  0.1876  0.1876  0.3413
Sn  0.5000  0.5000  0.0000
Sn  0.8124  0.8124  0.6587
Sn  0.8135  0.8135  0.1531
H  0.1816  0.8184  0.5000
H  0.8184  0.1816  0.5000

Largest 10 diffraction maxima, low angle first, 2θ from 10° to 90°:
d (Å)	2theta	I (rel.)
4.738	18.73	62
4.550	19.51	48
3.275	27.23	76
3.016	29.62	48
2.881	31.04	100
2.853	31.35	54
2.693	33.27	43
2.393	37.58	27
2.126	42.53	29
1.589	58.04	31

***

3.
Diffraction record for LiMn2Al8. The powder diffractogram is simulated, not measured: it uses a DFT-relaxed cell (PBE, Alexandria) and a wavelength of 1.5418 Å.
Peak positions follow from Bragg's law for the DFT cell and can differ from measured ones.

Lattice parameters (Å, degrees): 5.0595 5.0595 6.6284 100.54 100.54 98.68
Element x y z (fractional)
Li  0.0000  0.0000  0.0000
Mn  0.5186  0.5186  0.5838
Mn  0.7706  0.7706  0.2693
Al  0.0390  0.6662  0.5963
Al  0.1461  0.1461  0.4121
Al  0.2585  0.6384  0.2533
Al  0.2925  0.2925  0.8361
Al  0.4812  0.8312  0.9254
Al  0.6384  0.2585  0.2533
Al  0.6662  0.0390  0.5963
Al  0.8312  0.4812  0.9254

Largest 10 diffraction maxima, low angle first, 2θ from 10° to 90°:
d (Å)	2theta	I (rel.)
6.362	13.92	49
4.883	18.17	76
2.178	41.46	75
2.150	42.03	91
2.130	42.44	71
2.120	42.64	100
2.110	42.86	81
2.005	45.22	72
1.982	45.78	27
1.261	75.40	34

***

4.
Diffraction record for U3TaC4. The powder diffractogram is simulated, not measured: it uses a DFT-relaxed cell (PBE, Alexandria) and a wavelength of 1.5418 Å.
Peak positions follow from Bragg's law for the DFT cell and can differ from measured ones.

Lattice parameters (Å, degrees): 5.9724 6.8215 5.7975 90.00 109.52 90.00
Element x y z (fractional)
U  0.0000  0.1195  0.2500
U  0.0000  0.3689  0.7500
U  0.0000  0.6311  0.2500
U  0.0000  0.8805  0.7500
U  0.5000  0.3753  0.2500
U  0.5000  0.6247  0.7500
Ta  0.5000  0.1191  0.7500
Ta  0.5000  0.8809  0.2500
C  0.2630  0.3567  0.5131
C  0.2630  0.6433  0.0131
C  0.2731  0.1167  0.0023
C  0.2731  0.8833  0.5023
C  0.7269  0.1167  0.4977
C  0.7269  0.8833  0.9977
C  0.7370  0.3567  0.9869
C  0.7370  0.6433  0.4869

Largest 10 diffraction maxima, low angle first, 2θ from 10° to 90°:
d (Å)	2theta	I (rel.)
2.815	31.79	42
2.781	32.19	81
2.732	32.78	39
2.405	37.40	100
1.719	53.28	24
1.681	54.58	23
1.461	63.71	13
1.459	63.82	12
1.450	64.26	12
1.391	67.34	12

***

5.
Diffraction record for Pu2TlO11. The powder diffractogram is simulated, not measured: it uses a DFT-relaxed cell (PBE, Alexandria) and a wavelength of 1.5418 Å.
Peak positions follow from Bragg's law for the DFT cell and can differ from measured ones.

Lattice parameters (Å, degrees): 7.9782 7.9782 8.8356 109.01 109.01 84.50
Element x y z (fractional)
Pu  0.0000  0.0000  0.0000
Pu  0.5036  0.5036  0.6741
Pu  0.5134  0.5134  0.2238
Pu  0.9864  0.9864  0.4807
Tl  0.5299  0.9717  0.5999
Tl  0.9717  0.5299  0.5999
O  0.0088  0.7604  0.5035
O  0.0207  0.7762  0.8527
O  0.1046  0.1046  0.7981
O  0.2198  0.9733  0.4767
O  0.2203  0.9811  0.1368
O  0.2230  0.2230  0.8447
O  0.2586  0.5119  0.6743
O  0.2857  0.5268  0.0948
O  0.4445  0.4445  0.4257
O  0.4944  0.7524  0.6895
O  0.5021  0.7504  0.3540
O  0.5119  0.2586  0.6743
O  0.5268  0.2857  0.0948
O  0.6381  0.6381  0.0262
O  0.7487  0.7487  0.0160
O  0.7504  0.5021  0.3540
O  0.7524  0.4944  0.6895
O  0.7604  0.0088  0.5035
O  0.7762  0.0207  0.8527
O  0.8625  0.8625  0.1621
O  0.9733  0.2198  0.4767
O  0.9811  0.2203  0.1368

Largest 10 diffraction maxima, low angle first, 2θ from 10° to 90°:
d (Å)	2theta	I (rel.)
7.934	11.15	32
5.364	16.53	32
5.303	16.72	21
4.076	21.81	49
3.771	23.59	100
3.343	26.67	43
3.296	27.05	22
3.131	28.51	36
2.777	32.23	24
1.885	48.27	21

***

6.
Diffraction record for NpIn2AgI6. The powder diffractogram is simulated, not measured: it uses a DFT-relaxed cell (PBE, Alexandria) and a wavelength of 1.5418 Å.
Peak positions follow from Bragg's law for the DFT cell and can differ from measured ones.

Lattice parameters (Å, degrees): 7.9684 8.6675 13.8586 90.00 122.97 90.00
Element x y z (fractional)
Np  0.0000  0.0000  0.0000
Np  0.0000  0.5000  0.5000
In  0.3039  0.1026  0.7649
In  0.3039  0.3974  0.2649
In  0.6961  0.6026  0.7351
In  0.6961  0.8974  0.2351
Ag  0.5000  0.0000  0.5000
Ag  0.5000  0.5000  0.0000
I  0.1292  0.0296  0.2552
I  0.1292  0.4704  0.7552
I  0.2366  0.6910  0.0577
I  0.2366  0.8090  0.5577
I  0.3739  0.1903  0.0552
I  0.3739  0.3097  0.5552
I  0.6261  0.6903  0.4448
I  0.6261  0.8097  0.9448
I  0.7634  0.1910  0.4423
I  0.7634  0.3090  0.9423
I  0.8708  0.5296  0.2448
I  0.8708  0.9704  0.7448

Largest 10 diffraction maxima, low angle first, 2θ from 10° to 90°:
d (Å)	2theta	I (rel.)
5.864	15.11	69
3.485	25.56	100
3.436	25.93	77
2.932	30.49	80
2.907	30.76	77
2.716	32.98	95
2.356	38.19	63
2.297	39.22	72
2.091	43.26	51
1.985	45.71	53

***

7.
Diffraction record for Mg3Zn. The powder diffractogram is simulated, not measured: it uses a DFT-relaxed cell (PBE, Alexandria) and a wavelength of 1.5418 Å.
Peak positions follow from Bragg's law for the DFT cell and can differ from measured ones.

Lattice parameters (Å, degrees): 5.1932 5.1932 3.2295 90.00 90.00 108.04
Element x y z (fractional)
Mg  0.0000  0.0000  0.0000
Mg  0.0000  0.5000  0.5000
Mg  0.5000  0.0000  0.5000
Zn  0.5000  0.5000  0.0000

Largest 10 diffraction maxima, low angle first, 2θ from 10° to 90°:
d (Å)	2theta	I (rel.)
4.938	17.96	48
4.202	21.14	17
2.703	33.15	22
2.561	35.04	100
2.469	36.39	90
2.218	40.68	65
2.101	43.05	28
1.525	60.72	47
1.351	69.57	24
1.311	72.06	22

***

8.
Diffraction record for BaUGe2O8. The powder diffractogram is simulated, not measured: it uses a DFT-relaxed cell (PBE, Alexandria) and a wavelength of 1.5418 Å.
Peak positions follow from Bragg's law for the DFT cell and can differ from measured ones.

Lattice parameters (Å, degrees): 9.3388 9.3388 9.3388 31.91 31.91 31.91
Element x y z (fractional)
Ba  0.0000  0.0000  0.0000
U  0.5000  0.5000  0.5000
Ge  0.2443  0.2443  0.2443
Ge  0.7557  0.7557  0.7557
O  0.1190  0.4849  0.7432
O  0.2568  0.5151  0.8810
O  0.3089  0.3089  0.3089
O  0.4849  0.7432  0.1190
O  0.5151  0.8810  0.2568
O  0.6911  0.6911  0.6911
O  0.7432  0.1190  0.4849
O  0.8810  0.2568  0.5151

Largest 10 diffraction maxima, low angle first, 2θ from 10° to 90°:
d (Å)	2theta	I (rel.)
4.216	21.07	16
3.695	24.09	100
2.661	33.68	33
2.567	34.95	35
2.221	40.62	11
2.108	42.90	19
1.847	49.33	13
1.677	54.75	22
1.629	56.48	19
1.499	61.88	12